[1]
Ce6SnSb: computed powder XRD pattern (Cu Ka), based on a structure optimized by DFT (GGA-PBE).
Peak positions follow from Bragg's law for the DFT cell and can differ from measured ones.

Structural model:
```
data_Ce6SnSb
_cell_length_a 4.7670
_cell_length_b 4.7670
_cell_length_c 9.5293
_cell_angle_alpha 90.00
_cell_angle_beta 90.00
_cell_angle_gamma 90.00
_symmetry_space_group_name_H-M 'P 4/m m m'
_symmetry_Int_Tables_number 123
_symmetry_space_group_name_Hall '-P 4 2'
loop_
_atom_site_label
_atom_site_fract_x
_atom_site_fract_y
_atom_site_fract_z
Ce1 0.0000 0.0000 0.0000
Ce2 0.0000 0.0000 0.5000
Ce3 0.0000 0.5000 0.2477
Sn1 0.5000 0.5000 0.5000
Sb1 0.5000 0.5000 0.0000
```

Principal peaks in the range 15° ≤ 2θ ≤ 90°, by intensity:
| 2θ (°) | d/Å | Rel. int. | (hkl) |
| --- | --- | --- | --- |
| 32.5 | 2.752 | 100.0 | 1 1 2 |
| 37.7 | 2.383 | 50.1 | 2 0 0 |
| 64.9 | 1.437 | 40.8 | 3 1 2 |
| 54.5 | 1.685 | 34.7 | 2 2 0 |
| 89.7 | 1.093 | 17.8 | 3 3 2 |
| 68.2 | 1.376 | 11.8 | 2 2 4 |
| 80.6 | 1.192 | 5.6 | 4 0 0 |


[2]
Ce7SnSb2: computed powder XRD pattern (Cu Ka), based on a structure optimized by DFT (GGA-PBE).
Peak positions follow from Bragg's law for the DFT cell and can differ from measured ones.

Structural model:
```
data_Ce7SnSb2
_cell_length_a 8.4960
_cell_length_b 14.6965
_cell_length_c 5.6792
_cell_angle_alpha 90.00
_cell_angle_beta 90.00
_cell_angle_gamma 90.00
_symmetry_space_group_name_H-M 'C m m m'
_symmetry_Int_Tables_number 65
_symmetry_space_group_name_Hall '-C 2 2'
loop_
_atom_site_label
_atom_site_fract_x
_atom_site_fract_y
_atom_site_fract_z
Ce1 0.0000 0.0000 0.0000
Ce2 0.0000 0.2753 0.5000
Ce3 0.1665 0.4043 0.0000
Sn1 0.0000 0.5000 0.5000
Sb1 0.0000 0.2055 0.0000
```

Principal peaks in the range 15° ≤ 2θ ≤ 90°, by intensity:
| 2θ (°) | d/Å | Rel. int. | (hkl) |
| --- | --- | --- | --- |
| 36.0 | 2.496 | 100.0 | 1 5 1 |
| 32.2 | 2.779 | 40.6 | 2 4 0 |
| 31.5 | 2.840 | 38.7 | 0 0 2 |
| 45.7 | 1.987 | 38.3 | 2 4 2 |
| 15.6 | 5.679 | 34.8 | 0 0 1 |
| 59.0 | 1.565 | 23.7 | 1 5 3 |
| 19.8 | 4.494 | 16.2 | 0 2 1 |
| 20.9 | 4.248 | 15.4 | 2 0 0 |
| 59.9 | 1.544 | 15.0 | 4 4 2 |
| 28.9 | 3.085 | 14.2 | 0 4 1 |
| 65.6 | 1.424 | 13.0 | 5 5 1 |
| 68.3 | 1.373 | 11.2 | 3 9 1 |


[3]
Sr5CeSb4: computed powder XRD pattern (Cu Ka), based on a structure optimized by DFT (GGA-PBE).
Peak positions follow from Bragg's law for the DFT cell and can differ from measured ones.

Structural model:
```
data_Sr5CeSb4
_cell_length_a 21.1225
_cell_length_b 4.9178
_cell_length_c 8.7833
_cell_angle_alpha 90.00
_cell_angle_beta 114.47
_cell_angle_gamma 90.00
_symmetry_space_group_name_H-M 'C 1 2/m 1'
_symmetry_Int_Tables_number 12
_symmetry_space_group_name_Hall '-C 2y'
loop_
_atom_site_label
_atom_site_fract_x
_atom_site_fract_y
_atom_site_fract_z
Sr1 0.0000 0.0000 0.0000
Sr2 0.1674 0.5000 0.4255
Sr3 0.1674 0.5000 0.9100
Ce1 0.0000 0.0000 0.5000
Sb1 0.0001 0.5000 0.2573
Sb2 0.1954 0.0000 0.6956
```

Principal peaks in the range 15° ≤ 2θ ≤ 90°, by intensity:
| 2θ (°) | d/Å | Rel. int. | (hkl) |
| --- | --- | --- | --- |
| 27.6 | 3.229 | 100.0 | 3 1 -2 |
| 36.0 | 2.493 | 74.7 | 3 1 2 |
| 27.8 | 3.204 | 42.6 | 6 0 0 |
| 36.5 | 2.459 | 25.7 | 0 2 0 |
| 46.6 | 1.951 | 19.8 | 6 2 0 |
| 41.1 | 2.196 | 18.0 | 4 0 -4 |
| 50.4 | 1.811 | 15.3 | 10 0 -4 |
| 18.5 | 4.806 | 15.2 | 4 0 0 |
| 56.2 | 1.638 | 14.2 | 4 2 -4 |
| 65.4 | 1.426 | 13.6 | 3 3 2 |
| 20.7 | 4.291 | 13.6 | 1 1 -1 |
| 60.0 | 1.542 | 13.5 | 9 1 2 |


[4]
Tb3CeSb4: computed powder XRD pattern (Cu Ka), based on a structure optimized by DFT (GGA-PBE).
Peak positions follow from Bragg's law for the DFT cell and can differ from measured ones.

Structural model:
```
data_Tb3CeSb4
_cell_length_a 6.2606
_cell_length_b 6.2606
_cell_length_c 12.5122
_cell_angle_alpha 90.00
_cell_angle_beta 90.00
_cell_angle_gamma 90.00
_symmetry_space_group_name_H-M 'I 4/m m m'
_symmetry_Int_Tables_number 139
_symmetry_space_group_name_Hall '-I 4 2'
loop_
_atom_site_label
_atom_site_fract_x
_atom_site_fract_y
_atom_site_fract_z
Tb1 0.0000 0.0000 0.0000
Tb2 0.0000 0.5000 0.2500
Ce1 0.0000 0.0000 0.5000
Sb1 0.0000 0.0000 0.2492
Sb2 0.0000 0.5000 0.0000
```

Principal peaks in the range 15° ≤ 2θ ≤ 90°, by intensity:
| 2θ (°) | d/Å | Rel. int. | (hkl) |
| --- | --- | --- | --- |
| 28.5 | 3.130 | 100.0 | 2 0 0 |
| 40.8 | 2.213 | 76.3 | 2 2 0 |
| 66.8 | 1.400 | 35.0 | 4 2 0 |
| 50.5 | 1.807 | 27.2 | 2 2 4 |
| 74.2 | 1.278 | 25.8 | 4 2 4 |
| 59.0 | 1.565 | 12.7 | 4 0 0 |
| 88.3 | 1.106 | 8.5 | 4 4 0 |
| 24.6 | 3.614 | 2.5 | 1 1 2 |
| 48.2 | 1.887 | 1.4 | 3 1 2 |
| 64.9 | 1.436 | 0.6 | 3 3 2 |


[5]
TbCe3Sb3: computed powder XRD pattern (Cu Ka), based on a structure optimized by DFT (GGA-PBE).
Peak positions follow from Bragg's law for the DFT cell and can differ from measured ones.

Structural model:
```
data_TbCe3Sb3
_cell_length_a 9.1927
_cell_length_b 9.1927
_cell_length_c 18.7832
_cell_angle_alpha 90.00
_cell_angle_beta 90.00
_cell_angle_gamma 120.00
_symmetry_space_group_name_H-M 'R -3'
_symmetry_Int_Tables_number 148
_symmetry_space_group_name_Hall '-R 3'
loop_
_atom_site_label
_atom_site_fract_x
_atom_site_fract_y
_atom_site_fract_z
Tb1 0.0000 0.0000 0.1690
Ce1 0.0043 0.7470 0.5867
Sb1 0.0019 0.6102 0.4212
```

Principal peaks in the range 15° ≤ 2θ ≤ 90°, by intensity:
| 2θ (°) | d/Å | Rel. int. | (hkl) |
| --- | --- | --- | --- |
| 34.7 | 2.587 | 100.0 | 2 -1 6 |
| 31.2 | 2.866 | 86.9 | 3 -2 2 |
| 33.8 | 2.654 | 74.9 | 3 0 0 |
| 30.1 | 2.971 | 59.6 | 3 -1 1 |
| 35.4 | 2.533 | 51.8 | 3 -1 4 |
| 28.5 | 3.131 | 47.6 | 0 0 6 |
| 49.2 | 1.852 | 42.7 | 1 2 8 |
| 24.0 | 3.705 | 27.1 | 1 1 3 |
| 19.3 | 4.596 | 23.6 | 1 1 0 |
| 69.8 | 1.348 | 16.6 | 0 3 12 |
| 38.3 | 2.349 | 16.1 | 1 2 5 |
| 62.5 | 1.485 | 15.8 | 6 -2 2 |


[6]
Tb3Ce4Sb4: computed powder XRD pattern (Cu Ka), based on a structure optimized by DFT (GGA-PBE).
Peak positions follow from Bragg's law for the DFT cell and can differ from measured ones.

Structural model:
```
data_Tb3Ce4Sb4
_cell_length_a 4.0747
_cell_length_b 10.3887
_cell_length_c 15.3803
_cell_angle_alpha 90.00
_cell_angle_beta 90.00
_cell_angle_gamma 90.00
_symmetry_space_group_name_H-M 'I m m m'
_symmetry_Int_Tables_number 71
_symmetry_space_group_name_Hall '-I 2 2'
loop_
_atom_site_label
_atom_site_fract_x
_atom_site_fract_y
_atom_site_fract_z
Tb1 0.0000 0.0000 0.0000
Tb2 0.0000 0.5000 0.1136
Ce1 0.0000 0.2728 0.3068
Sb1 0.0000 0.0000 0.2192
Sb2 0.0000 0.1885 0.5000
```

Principal peaks in the range 15° ≤ 2θ ≤ 90°, by intensity:
| 2θ (°) | d/Å | Rel. int. | (hkl) |
| --- | --- | --- | --- |
| 28.4 | 3.139 | 100.0 | 1 2 1 |
| 33.2 | 2.700 | 52.7 | 1 1 4 |
| 40.6 | 2.220 | 34.7 | 1 2 5 |
| 34.5 | 2.597 | 32.9 | 0 4 0 |
| 44.5 | 2.037 | 26.3 | 2 0 0 |
| 30.3 | 2.949 | 26.2 | 0 1 5 |
| 36.6 | 2.456 | 25.8 | 1 0 5 |
| 31.2 | 2.870 | 23.6 | 0 3 3 |
| 39.2 | 2.299 | 22.7 | 0 3 5 |
| 36.0 | 2.496 | 21.6 | 1 3 2 |
| 33.0 | 2.718 | 20.6 | 1 2 3 |
| 55.1 | 1.668 | 15.8 | 1 5 4 |


[7]
Ce4TcSb: computed powder XRD pattern (Cu Ka), based on a structure optimized by DFT (GGA-PBE).
Peak positions follow from Bragg's law for the DFT cell and can differ from measured ones.

Structural model:
```
data_Ce4TcSb
_cell_length_a 5.3848
_cell_length_b 6.6798
_cell_length_c 8.4847
_cell_angle_alpha 90.00
_cell_angle_beta 97.13
_cell_angle_gamma 90.00
_symmetry_space_group_name_H-M 'P 1 21/m 1'
_symmetry_Int_Tables_number 11
_symmetry_space_group_name_Hall '-P 2yb'
loop_
_atom_site_label
_atom_site_fract_x
_atom_site_fract_y
_atom_site_fract_z
Ce1 0.1899 0.2500 0.0330
Ce2 0.2154 0.7500 0.3714
Ce3 0.2952 0.5384 0.7564
Tc1 0.2562 0.7500 0.0947
Sb1 0.2412 0.2500 0.4177
```

Principal peaks in the range 15° ≤ 2θ ≤ 90°, by intensity:
| 2θ (°) | d/Å | Rel. int. | (hkl) |
| --- | --- | --- | --- |
| 34.2 | 2.620 | 100.0 | 1 0 -3 |
| 32.7 | 2.739 | 59.3 | 1 2 -1 |
| 33.5 | 2.672 | 51.4 | 2 0 0 |
| 34.1 | 2.633 | 43.7 | 1 2 1 |
| 38.0 | 2.367 | 25.8 | 1 0 3 |
| 31.6 | 2.830 | 23.4 | 1 1 2 |
| 28.6 | 3.121 | 18.9 | 1 0 2 |
| 46.7 | 1.946 | 17.0 | 2 2 -2 |
| 42.0 | 2.151 | 13.5 | 0 3 1 |
| 66.0 | 1.416 | 13.3 | 2 4 0 |
| 26.7 | 3.340 | 12.9 | 0 2 0 |
| 66.4 | 1.408 | 12.8 | 1 4 -3 |


[8]
CeTcSb3: computed powder XRD pattern (Cu Ka), based on a structure optimized by DFT (GGA-PBE).
Peak positions follow from Bragg's law for the DFT cell and can differ from measured ones.

Structural model:
```
data_CeTcSb3
_cell_length_a 12.6718
_cell_length_b 6.2492
_cell_length_c 6.1641
_cell_angle_alpha 90.00
_cell_angle_beta 90.00
_cell_angle_gamma 90.00
_symmetry_space_group_name_H-M 'P b c m'
_symmetry_Int_Tables_number 57
_symmetry_space_group_name_Hall '-P 2c 2b'
loop_
_atom_site_label
_atom_site_fract_x
_atom_site_fract_y
_atom_site_fract_z
Ce1 0.1974 0.0097 0.2500
Tc1 0.3950 0.2500 0.0000
Sb1 0.0006 0.2500 0.0000
Sb2 0.2764 0.5166 0.2500
Sb3 0.4414 0.5998 0.7500
```

Principal peaks in the range 15° ≤ 2θ ≤ 90°, by intensity:
| 2θ (°) | d/Å | Rel. int. | (hkl) |
| --- | --- | --- | --- |
| 34.9 | 2.569 | 100.0 | 4 1 1 |
| 41.1 | 2.194 | 89.8 | 0 2 2 |
| 31.9 | 2.802 | 78.1 | 2 2 0 |
| 32.3 | 2.772 | 51.9 | 2 0 2 |
| 35.4 | 2.534 | 47.7 | 5 0 0 |
| 36.1 | 2.490 | 36.7 | 3 0 2 |
| 35.7 | 2.512 | 28.2 | 3 2 0 |
| 55.3 | 1.662 | 26.4 | 4 1 3 |
| 69.0 | 1.361 | 26.3 | 2 4 2 |
| 55.4 | 1.659 | 26.2 | 5 2 2 |
| 29.4 | 3.042 | 25.6 | 3 1 1 |
| 60.0 | 1.541 | 19.8 | 0 0 4 |


[9]
CeTcSb: computed powder XRD pattern (Cu Ka), based on a structure optimized by DFT (GGA-PBE).
Peak positions follow from Bragg's law for the DFT cell and can differ from measured ones.

Structural model:
```
data_CeTcSb
_cell_length_a 4.1123
_cell_length_b 4.3413
_cell_length_c 8.3678
_cell_angle_alpha 79.87
_cell_angle_beta 89.94
_cell_angle_gamma 89.98
_symmetry_space_group_name_H-M 'P -1'
_symmetry_Int_Tables_number 2
_symmetry_space_group_name_Hall '-P 1'
loop_
_atom_site_label
_atom_site_fract_x
_atom_site_fract_y
_atom_site_fract_z
Ce1 0.2493 0.4117 0.2081
Tc1 0.2501 0.9678 0.9280
Sb1 0.2509 0.1639 0.6073
```

Principal peaks in the range 15° ≤ 2θ ≤ 90°, by intensity:
| 2θ (°) | d/Å | Rel. int. | (hkl) |
| --- | --- | --- | --- |
| 30.8 | 2.904 | 100.0 | -1 1 1 |
| 39.5 | 2.284 | 53.7 | 1 0 -3 |
| 32.7 | 2.735 | 52.7 | 0 1 -2 |
| 30.2 | 2.963 | 29.4 | 1 1 0 |
| 44.0 | 2.056 | 28.2 | 2 0 0 |
| 35.6 | 2.520 | 25.3 | 0 1 3 |
| 41.8 | 2.163 | 24.1 | 0 2 1 |
| 55.9 | 1.644 | 22.5 | 2 1 -2 |
| 61.0 | 1.518 | 15.8 | -1 2 4 |
| 62.3 | 1.490 | 14.5 | 2 2 1 |
| 35.1 | 2.558 | 13.3 | 1 1 2 |
| 33.4 | 2.686 | 12.3 | 1 -1 1 |


[10]
Ce6TcSb2: computed powder XRD pattern (Cu Ka), based on a structure optimized by DFT (GGA-PBE).
Peak positions follow from Bragg's law for the DFT cell and can differ from measured ones.

Structural model:
```
data_Ce6TcSb2
_cell_length_a 8.4216
_cell_length_b 8.4216
_cell_length_c 3.9756
_cell_angle_alpha 90.00
_cell_angle_beta 90.00
_cell_angle_gamma 120.00
_symmetry_space_group_name_H-M 'P -6 2 m'
_symmetry_Int_Tables_number 189
_symmetry_space_group_name_Hall 'P -6 -2'
loop_
_atom_site_label
_atom_site_fract_x
_atom_site_fract_y
_atom_site_fract_z
Ce1 0.0000 0.4077 0.0000
Ce2 0.0000 0.7574 0.5000
Tc1 0.0000 0.0000 0.0000
Sb1 0.3333 0.6667 0.5000
```

Principal peaks in the range 15° ≤ 2θ ≤ 90°, by intensity:
| 2θ (°) | d/Å | Rel. int. | (hkl) |
| --- | --- | --- | --- |
| 30.9 | 2.891 | 100.0 | 1 1 1 |
| 33.3 | 2.687 | 91.3 | 2 0 1 |
| 32.5 | 2.757 | 71.6 | 2 1 0 |
| 39.8 | 2.265 | 37.0 | 2 1 1 |
| 37.0 | 2.431 | 36.6 | 3 0 0 |
| 60.0 | 1.542 | 35.4 | 3 2 1 |
| 57.1 | 1.612 | 28.5 | 2 1 2 |
| 45.6 | 1.988 | 23.5 | 0 0 2 |
| 50.6 | 1.803 | 18.9 | 3 1 1 |
| 60.1 | 1.539 | 17.4 | 3 0 2 |
| 76.5 | 1.245 | 13.8 | 2 0 3 |
| 62.9 | 1.478 | 12.5 | 4 1 1 |


[11]
Ce5Sb4Te: computed powder XRD pattern (Cu Ka), based on a structure optimized by DFT (GGA-PBE).
Peak positions follow from Bragg's law for the DFT cell and can differ from measured ones.

Structural model:
```
data_Ce5Sb4Te
_cell_length_a 4.4961
_cell_length_b 6.3648
_cell_length_c 22.5636
_cell_angle_alpha 90.00
_cell_angle_beta 90.00
_cell_angle_gamma 90.00
_symmetry_space_group_name_H-M 'I m m m'
_symmetry_Int_Tables_number 71
_symmetry_space_group_name_Hall '-I 2 2'
loop_
_atom_site_label
_atom_site_fract_x
_atom_site_fract_y
_atom_site_fract_z
Ce1 0.0000 0.0000 0.0000
Ce2 0.0000 0.0000 0.2000
Ce3 0.0000 0.0000 0.3984
Sb1 0.0000 0.5000 0.2004
Sb2 0.0000 0.5000 0.4003
Te1 0.0000 0.5000 0.0000
```

Principal peaks in the range 15° ≤ 2θ ≤ 90°, by intensity:
| 2θ (°) | d/Å | Rel. int. | (hkl) |
| --- | --- | --- | --- |
| 28.0 | 3.184 | 100.0 | 1 0 5 |
| 40.0 | 2.252 | 63.7 | 1 2 5 |
| 65.6 | 1.424 | 29.2 | 3 0 5 |
| 49.5 | 1.841 | 13.7 | 0 2 10 |
| 49.7 | 1.836 | 13.6 | 2 2 0 |
| 72.7 | 1.301 | 12.9 | 0 4 10 |
| 72.8 | 1.299 | 12.9 | 3 2 5 |
| 57.9 | 1.592 | 12.8 | 0 4 0 |
| 40.1 | 2.248 | 12.7 | 2 0 0 |
| 65.4 | 1.427 | 5.9 | 1 0 15 |
| 86.5 | 1.126 | 5.6 | 2 4 10 |
| 86.6 | 1.124 | 1.4 | 4 0 0 |


[12]
Ce4Sb3Te: computed powder XRD pattern (Cu Ka), based on a structure optimized by DFT (GGA-PBE).
Peak positions follow from Bragg's law for the DFT cell and can differ from measured ones.

Structural model:
```
data_Ce4Sb3Te
_cell_length_a 4.5171
_cell_length_b 6.3646
_cell_length_c 8.9793
_cell_angle_alpha 90.00
_cell_angle_beta 90.00
_cell_angle_gamma 90.00
_symmetry_space_group_name_H-M 'P m m m'
_symmetry_Int_Tables_number 47
_symmetry_space_group_name_Hall '-P 2 2'
loop_
_atom_site_label
_atom_site_fract_x
_atom_site_fract_y
_atom_site_fract_z
Ce1 0.0000 0.0000 0.0000
Ce2 0.0000 0.0000 0.5000
Ce3 0.5000 0.5000 0.2470
Sb1 0.0000 0.5000 0.0000
Sb2 0.5000 0.0000 0.2507
Te1 0.0000 0.5000 0.5000
```

Principal peaks in the range 15° ≤ 2θ ≤ 90°, by intensity:
| 2θ (°) | d/Å | Rel. int. | (hkl) |
| --- | --- | --- | --- |
| 28.0 | 3.184 | 100.0 | 1 0 2 |
| 40.1 | 2.251 | 50.9 | 1 2 2 |
| 65.6 | 1.424 | 23.4 | 2 2 4 |
| 49.5 | 1.842 | 13.8 | 2 2 0 |
| 49.7 | 1.834 | 13.6 | 0 2 4 |
| 39.9 | 2.259 | 12.9 | 2 0 0 |
| 72.9 | 1.298 | 12.8 | 0 4 4 |
| 57.9 | 1.592 | 12.8 | 2 0 4 |
| 40.2 | 2.245 | 12.6 | 0 0 4 |
| 72.6 | 1.302 | 8.7 | 3 2 2 |
| 65.4 | 1.428 | 5.9 | 3 0 2 |
| 65.7 | 1.421 | 5.8 | 1 0 6 |


[13]
Ce5Sb4Te: computed powder XRD pattern (Cu Ka), based on a structure optimized by DFT (GGA-PBE).
Peak positions follow from Bragg's law for the DFT cell and can differ from measured ones.

Structural model:
```
data_Ce5Sb4Te
_cell_length_a 10.0730
_cell_length_b 10.0730
_cell_length_c 6.3662
_cell_angle_alpha 90.00
_cell_angle_beta 90.00
_cell_angle_gamma 90.00
_symmetry_space_group_name_H-M 'I 4/m'
_symmetry_Int_Tables_number 87
_symmetry_space_group_name_Hall '-I 4'
loop_
_atom_site_label
_atom_site_fract_x
_atom_site_fract_y
_atom_site_fract_z
Ce1 0.0000 0.0000 0.0000
Ce2 0.1004 0.3022 0.5000
Sb1 0.1009 0.2991 0.0000
Te1 0.0000 0.0000 0.5000
```

Principal peaks in the range 15° ≤ 2θ ≤ 90°, by intensity:
| 2θ (°) | d/Å | Rel. int. | (hkl) |
| --- | --- | --- | --- |
| 28.0 | 3.185 | 100.0 | 1 3 0 |
| 40.0 | 2.252 | 76.4 | 4 2 0 |
| 65.5 | 1.424 | 35.1 | 2 6 2 |
| 49.6 | 1.839 | 27.4 | 4 2 2 |
| 72.7 | 1.300 | 25.8 | 7 1 2 |
| 57.9 | 1.592 | 12.8 | 0 0 4 |
| 86.4 | 1.126 | 8.4 | 2 6 4 |
| 24.2 | 3.677 | 0.9 | 2 1 1 |